No. 1
# MgSi2
Simulated powder diffraction line list, λ = 1.5418 Å (Cu Kα). Input: a cell relaxed with PBE.
Intensities are scaled so that the largest is 100.

```
12
Lattice="3.709 0.000 0.000 -1.084 5.143 0.000 -0.204 -2.546 12.306" Properties=species:S:1:pos:R:3 pbc="T T T"
Mg 0.000 0.000 0.000
Mg -0.172 0.434 7.939
Mg 0.793 1.187 2.797
Mg 1.845 -0.280 10.599
Si 0.170 -0.453 5.253
Si 0.286 1.950 5.476
Si 0.465 2.054 10.192
Si 0.789 3.820 1.658
Si 0.938 3.936 4.030
Si 2.140 2.649 6.725
Si 2.675 2.408 1.033
Si 2.317 3.073 9.080
```

Top 10 peaks for 10 to 80 degrees two-theta, low angle first:
2θ 26.05, I 81; 2θ 33.09, I 62; 2θ 35.67, I 60; 2θ 37.20, I 64; 2θ 37.27, I 88; 2θ 37.95, I 100; 2θ 38.55, I 68; 2θ 39.53, I 64; 2θ 41.73, I 64; 2θ 49.74, I 74

No. 2
# KZrSnSbO6
Simulated powder diffraction line list, λ = 1.5418 Å (Cu Kα). Input: a cell relaxed with PBE.
Intensities are scaled so that the largest is 100.

```
10
Lattice="0.000 4.107 4.107 4.107 0.000 4.107 4.107 4.107 0.000" Properties=species:S:1:pos:R:3 pbc="T T T"
K 0.000 0.000 0.000
Zr 6.161 6.161 6.161
Sn 4.107 4.107 4.107
Sb 2.054 2.054 2.054
O 2.054 2.054 0.052
O 2.054 0.052 2.054
O 4.055 2.054 2.054
O 0.052 2.054 2.054
O 2.054 4.055 2.054
O 2.054 2.054 4.055
```

Top 10 peaks for 10 to 80 degrees two-theta, low angle first:
2θ 18.71, I 13; 2θ 21.64, I 8; 2θ 30.79, I 100; 2θ 36.27, I 8; 2θ 44.10, I 34; 2θ 48.29, I 4; 2θ 54.74, I 40; 2θ 64.13, I 21; 2θ 67.45, I 3; 2θ 72.82, I 17

No. 3
# Al4C3
Simulated powder diffraction line list, λ = 1.5418 Å (Cu Kα). Input: a cell relaxed with PBE.
Intensities are scaled so that the largest is 100.

```
7
Lattice="3.192 0.000 0.000 1.170 4.919 0.000 0.327 2.274 5.076" Properties=species:S:1:pos:R:3 pbc="T T T"
Al 0.000 0.000 0.000
Al 1.145 4.035 2.707
Al 1.511 1.409 2.804
Al 3.090 2.564 0.380
C 1.593 1.163 0.735
C 2.736 4.463 1.409
C 4.269 5.695 3.844
```

Top 10 peaks for 10 to 80 degrees two-theta, low angle first:
2θ 19.78, I 33; 2θ 34.49, I 100; 2θ 35.36, I 96; 2θ 38.61, I 39; 2θ 39.30, I 81; 2θ 40.17, I 54; 2θ 41.29, I 49; 2θ 41.39, I 91; 2θ 57.28, I 42; 2θ 59.36, I 44